Entry 1:
Structure and simulated powder diffractogram of Pr3Mg3TlAg2 (DFT lattice parameters and positions (PBE); CuKα).

Top 8 peaks for 2θ from 10° to 90°, low angle first:
index, two_theta, d (Å), I (rel.)
1 1 0, 22.85, 3.892, 30
2 0 0, 26.44, 3.370, 28
1 1 1, 30.37, 2.943, 40
2 0 1, 33.22, 2.697, 100
0 0 2, 40.12, 2.248, 46
2 1 1, 40.70, 2.217, 28
2 0 2, 48.69, 1.870, 21
3 2 1, 63.62, 1.462, 23

abc: 7.7837 7.7837 4.4972
angles: 90.00 90.00 120.00
Space group P-62m (No. 189)
One atom of each set of equivalent atoms:
Pr 0.0000 0.4199 0.0000
Mg 0.0000 0.7503 0.5000
Tl 0.0000 0.0000 0.0000
Ag 0.3333 0.6667 0.5000

Entry 2:
Structure and simulated powder diffractogram of KPt8 (DFT lattice parameters and positions (PBE); CuKα).

Top 8 peaks for 2θ from 10° to 90°, low angle first:
index, two_theta, d (Å), I (rel.)
0 0 4, 14.88, 5.955, 21
1 1 1, 17.18, 5.160, 27
1 1 5, 25.17, 3.539, 23
1 1 7, 31.26, 2.861, 23
2 2 6, 41.03, 2.200, 100
3 1 1, 41.21, 2.191, 23
0 4 0, 43.50, 2.080, 21
0 0 12, 45.71, 1.985, 22

abc: 6.8440 8.3215 23.8197
angles: 90.00 90.00 90.00
Space group Fddd (No. 70, origin choice 2)
One atom of each set of equivalent atoms:
K 0.1250 0.1250 0.1250
Pt 0.0089 0.2573 0.6676
Pt 0.0488 0.2720 0.9988

Entry 3:
Structure and simulated powder diffractogram of DyTeAuO (DFT lattice parameters and positions (PBE); CuKα).

Top 8 peaks for 2θ from 10° to 90°, low angle first:
index, two_theta, d (Å), I (rel.)
1 1 2, 28.35, 3.149, 100
2 0 1, 32.79, 2.732, 80
1 1 3, 34.66, 2.588, 92
2 0 2, 36.27, 2.477, 65
2 1 1, 36.51, 2.461, 43
0 0 5, 44.59, 2.032, 59
2 2 0, 45.22, 2.005, 52
3 1 3, 58.19, 1.586, 49

abc: 5.6719 5.6719 10.1658
angles: 90.00 90.00 90.00
Space group P4bm (No. 100)
One atom of each set of equivalent atoms:
Dy 0.0000 0.0000 0.0000
Dy 0.0000 0.5000 0.2119
Te 0.0000 0.0000 0.3922
Te 0.0000 0.5000 0.8259
Au 0.1855 0.3145 0.5961
O 0.2489 0.2511 0.1073

Entry 4:
Structure and simulated powder diffractogram of KHoHgSe3 (DFT lattice parameters and positions (PBE); CuKα).

Top 8 peaks for 2θ from 10° to 90°, low angle first:
index, two_theta, d (Å), I (rel.)
1 0 -1, 11.70, 7.560, 100
1 1 1, 26.50, 3.363, 21
2 1 -1, 29.82, 2.996, 17
2 1 0, 30.57, 2.924, 31
1 0 3, 31.87, 2.808, 16
1 1 -3, 33.07, 2.709, 23
2 1 -4, 41.65, 2.168, 23
0 2 0, 42.63, 2.121, 18

abc: 8.4970 4.2428 10.6224
angles: 90.00 108.22 90.00
Space group P2_1/m (No. 11)
One atom of each set of equivalent atoms:
K 0.2503 0.2500 0.2261
Ho 0.1799 0.7500 0.6341
Hg 0.4122 0.2500 0.8853
Se 0.0451 0.7500 0.3594
Se 0.2437 0.7500 0.9402
Se 0.4193 0.2500 0.6403

Entry 5:
Structure and simulated powder diffractogram of Li2TaCuSe4 (DFT lattice parameters and positions (PBE); CuKα).

Top 8 peaks for 2θ from 10° to 90°, low angle first:
index, two_theta, d (Å), I (rel.)
1 0 0, 14.46, 6.124, 100
1 1 0, 20.51, 4.330, 32
1 1 1, 25.92, 3.437, 68
2 2 0, 41.72, 2.165, 27
2 0 2, 43.58, 2.077, 49
2 1 2, 46.16, 1.967, 21
3 1 1, 49.77, 1.832, 20
4 2 2, 77.45, 1.232, 16

abc: 6.1240 6.1240 5.6520
angles: 90.00 90.00 90.00
Space group P-42m (No. 111)
One atom of each set of equivalent atoms:
Li 0.0000 0.5000 0.0000
Ta 0.0000 0.0000 0.0000
Cu 0.0000 0.0000 0.5000
Se 0.2306 0.2306 0.7541

Entry 6:
Structure and simulated powder diffractogram of ZnH8BrN3 (DFT lattice parameters and positions (PBE); CuKα).

Top 8 peaks for 2θ from 10° to 90°, low angle first:
index, two_theta, d (Å), I (rel.)
1 0 0, 13.63, 6.498, 73
0 1 2, 20.83, 4.265, 89
1 1 -2, 20.93, 4.245, 99
1 0 -4, 25.47, 3.498, 100
2 0 0, 27.45, 3.249, 63
1 1 2, 28.48, 3.134, 85
2 1 -2, 28.71, 3.110, 76
0 2 0, 30.38, 2.942, 77

abc: 7.3423 5.8843 13.9922
angles: 90.00 117.75 90.00
Space group P2_1/c (No. 14)
One atom of each set of equivalent atoms:
Zn 0.1201 0.1453 0.2776
H 0.2194 0.7393 0.7378
H 0.2269 0.1081 0.9577
H 0.2407 0.7428 0.8610
H 0.2559 0.1062 0.6607
H 0.2740 0.1161 0.4840
H 0.2838 0.1154 0.1507
H 0.4322 0.2265 0.9561
H 0.4453 0.2460 0.7624
Br 0.2418 0.7491 0.0576
N 0.1470 0.6954 0.7827
N 0.2801 0.2479 0.4369
N 0.2941 0.2435 0.2034

Entry 7:
Structure and simulated powder diffractogram of GdHo2Mg3AlGa2 (DFT lattice parameters and positions (PBE); CuKα).

Top 8 peaks for 2θ from 10° to 90°, low angle first:
index, two_theta, d (Å), I (rel.)
0 2 0, 14.06, 6.299, 39
1 0 0, 19.74, 4.498, 21
0 2 2, 28.38, 3.144, 21
1 0 2, 31.64, 2.828, 84
1 2 2, 34.78, 2.579, 100
0 5 1, 37.75, 2.383, 20
2 0 0, 40.09, 2.249, 24
1 7 1, 56.38, 1.632, 17

abc: 4.4984 12.6288 7.2519
angles: 90.00 90.00 90.00
Space group Amm2 (No. 38)
One atom of each set of equivalent atoms:
Gd 0.0000 0.0000 0.0000
Ho 0.0000 0.2172 0.6517
Mg 0.5000 0.0000 0.6791
Mg 0.5000 0.1222 0.3131
Al 0.0000 0.0000 0.4375
Ga 0.5000 0.1678 0.9346